Record 1
Structure and computed X-ray diffraction stick pattern of P2OsSe (a GGA-PBE-relaxed structure; Cu Kα).

Peak list (12 most intense, 10 to 90 degrees two-theta, by angle)
- 19.74°, intensity 100.0
- 23.74°, intensity 33.7
- 24.04°, intensity 40.1
- 26.87°, intensity 51.4
- 27.47°, intensity 47.7
- 33.43°, intensity 54.9
- 34.65°, intensity 41.7
- 40.08°, intensity 40.6
- 40.81°, intensity 26.9
- 42.14°, intensity 32.4
- 45.44°, intensity 26.1
- 45.95°, intensity 27.0

Structural model:
a = 3.9931 Å, b = 4.1015 Å, c = 4.6169 Å
α = 100.35°, β = 93.74°, γ = 110.59°
Fractional coordinates of all 4 atoms:
P 0.0000 0.0000 0.0000
P 0.2088 0.6320 0.1985
Os 0.4081 0.7812 0.7434
Se 0.6969 0.3364 0.5651

---

Record 2
Structure and computed X-ray diffraction stick pattern of POs2Se (a GGA-PBE-relaxed structure; Cu Kα).

Peak list (12 most intense, 10 to 90 degrees two-theta, by angle)
- 35.51°, intensity 16.5
- 37.60°, intensity 100.0
- 37.71°, intensity 20.0
- 41.89°, intensity 32.8
- 43.73°, intensity 53.5
- 47.65°, intensity 13.1
- 50.21°, intensity 28.0
- 63.48°, intensity 23.4
- 64.32°, intensity 11.2
- 73.03°, intensity 11.4
- 76.23°, intensity 28.8
- 83.10°, intensity 16.1

Structural model:
a = 2.9307 Å, b = 2.9307 Å, c = 28.6274 Å
α = 90.00°, β = 90.00°, γ = 120.00°
Fractional coordinates of all 12 atoms:
P 0.0000 0.0000 0.0000
P 0.3333 0.6667 0.6667
P 0.6667 0.3333 0.3333
Os 0.0000 0.0000 0.2756
Os 0.0000 0.0000 0.5293
Os 0.3333 0.6667 0.1960
Os 0.3333 0.6667 0.9423
Os 0.6667 0.3333 0.6089
Os 0.6667 0.3333 0.8626
Se 0.0000 0.0000 0.7978
Se 0.3333 0.6667 0.4644
Se 0.6667 0.3333 0.1311

---

Record 3
Structure and computed X-ray diffraction stick pattern of P2OsSe (a GGA-PBE-relaxed structure; Cu Kα).

Peak list (12 most intense, 10 to 90 degrees two-theta, by angle)
- 17.68°, intensity 29.0
- 28.24°, intensity 100.0
- 30.66°, intensity 23.8
- 36.55°, intensity 7.2
- 43.91°, intensity 20.1
- 48.43°, intensity 31.3
- 53.03°, intensity 34.2
- 58.41°, intensity 8.4
- 60.81°, intensity 11.5
- 77.99°, intensity 11.1
- 84.00°, intensity 11.5
- 87.57°, intensity 8.4

Structural model:
a = 5.8326 Å, b = 5.8326 Å, c = 9.8340 Å
α = 90.00°, β = 90.00°, γ = 90.00°
Fractional coordinates of all 16 atoms:
P 0.2006 0.2500 0.1250
P 0.2500 0.7006 0.3750
P 0.2500 0.7994 0.8750
P 0.2994 0.2500 0.6250
P 0.7006 0.7500 0.6250
P 0.7500 0.2006 0.8750
P 0.7500 0.2994 0.3750
P 0.7994 0.7500 0.1250
Os 0.0000 0.0000 0.0000
Os 0.0000 0.5000 0.2500
Os 0.5000 0.0000 0.7500
Os 0.5000 0.5000 0.5000
Se 0.0000 0.0000 0.5000
Se 0.0000 0.5000 0.7500
Se 0.5000 0.0000 0.2500
Se 0.5000 0.5000 0.0000

---

Record 4
Structure and computed X-ray diffraction stick pattern of P2OsSe (a GGA-PBE-relaxed structure; Cu Kα).

Peak list (12 most intense, 10 to 90 degrees two-theta, by angle)
- 18.31°, intensity 100.0
- 19.89°, intensity 55.6
- 23.73°, intensity 51.3
- 26.56°, intensity 27.0
- 27.76°, intensity 31.9
- 29.94°, intensity 39.7
- 30.34°, intensity 32.0
- 32.49°, intensity 24.7
- 40.42°, intensity 31.9
- 41.63°, intensity 26.9
- 46.01°, intensity 21.3
- 52.77°, intensity 22.3

Structural model:
a = 3.8718 Å, b = 4.6127 Å, c = 4.8486 Å
α = 92.36°, β = 90.17°, γ = 104.42°
Fractional coordinates of all 4 atoms:
P 0.0000 0.0000 0.0000
P 0.0164 0.0636 0.4490
Os 0.5138 0.0627 0.7128
Se 0.5304 0.5688 0.9308

---

Record 5
Structure and computed X-ray diffraction stick pattern of Si4P4Os (a GGA-PBE-relaxed structure; Cu Kα).

Peak list (12 most intense, 10 to 90 degrees two-theta, by angle)
- 15.35°, intensity 53.8
- 16.62°, intensity 53.8
- 20.26°, intensity 27.5
- 20.49°, intensity 24.6
- 21.70°, intensity 27.5
- 22.52°, intensity 34.7
- 23.29°, intensity 25.2
- 30.26°, intensity 100.0
- 30.33°, intensity 49.9
- 37.88°, intensity 23.8
- 49.55°, intensity 45.9
- 49.65°, intensity 25.2

Structural model:
a = 4.9802 Å, b = 5.6493 Å, c = 6.2173 Å
α = 85.72°, β = 68.37°, γ = 70.96°
Fractional coordinates of all 9 atoms:
Si 0.0000 0.0000 0.0000
Si 0.1246 0.2494 0.4484
Si 0.4318 0.4318 0.7958
Si 0.6061 0.6295 0.2558
P 0.1038 0.8819 0.3260
P 0.3847 0.0659 0.6901
P 0.5300 0.2961 0.1311
P 0.9226 0.6699 0.8865
Os 0.7628 0.6553 0.5670

---

Record 6
Structure and computed X-ray diffraction stick pattern of SrPOs2 (a GGA-PBE-relaxed structure; Cu Kα).

Peak list (12 most intense, 10 to 90 degrees two-theta, by angle)
- 11.35°, intensity 84.3
- 31.99°, intensity 23.5
- 37.87°, intensity 100.0
- 42.66°, intensity 40.9
- 44.29°, intensity 13.1
- 46.24°, intensity 18.8
- 46.61°, intensity 9.7
- 61.92°, intensity 13.7
- 65.02°, intensity 14.5
- 74.93°, intensity 27.6
- 80.64°, intensity 12.8
- 80.93°, intensity 8.0

Structural model:
a = 2.9970 Å, b = 2.9970 Å, c = 7.7944 Å
α = 90.00°, β = 90.00°, γ = 90.00°
Fractional coordinates of all 4 atoms:
Sr 0.0000 0.0000 0.0000
P 0.5000 0.5000 0.6927
Os 0.0000 0.0000 0.5261
Os 0.5000 0.5000 0.3050